This entry pairs a crystal structure of Mn3Cr3Sb2O16 with its theoretical X-ray diffraction stick pattern. Radiation: Cu Kα, 1.54184 Å. Structure: the PBE+U geometry in Alexandria.
No peak broadening, texture or thermal motion is included.

Structural model:
a = 5.896 Å, b = 5.905 Å, c = 9.247 Å
α = 91.07°, β = 90.04°, γ = 119.66°
Space group P1 (No. 1)
One atom of each set of equivalent atoms:
Mn: 0.000 0.000 0.000 [1 per cell]
Mn: 0.169 0.825 0.504 [1 per cell]
Mn: 0.504 0.000 0.001 [1 per cell]
Cr: 0.160 0.326 0.493 [1 per cell]
Cr: 0.505 0.506 0.000 [1 per cell]
Cr: 0.675 0.335 0.504 [1 per cell]
Sb: 0.003 0.502 0.220 [1 per cell]
Sb: 0.665 0.830 0.721 [1 per cell]
O: 0.020 0.506 0.606 [1 per cell]
O: 0.170 0.332 0.113 [1 per cell]
O: 0.171 0.838 0.112 [1 per cell]
O: 0.299 0.648 0.375 [1 per cell]
O: 0.326 0.157 0.410 [1 per cell]
O: 0.330 0.156 0.904 [1 per cell]
O: 0.376 0.697 0.875 [1 per cell]
O: 0.494 0.495 0.615 [1 per cell]
O: 0.499 0.999 0.614 [1 per cell]
O: 0.665 0.331 0.115 [1 per cell]
O: 0.677 0.849 0.104 [1 per cell]
O: 0.816 0.130 0.878 [1 per cell]
O: 0.823 0.695 0.874 [1 per cell]
O: 0.864 0.652 0.377 [1 per cell]
O: 0.865 0.209 0.371 [1 per cell]
O: 0.998 0.996 0.611 [1 per cell]

Most intense lines, 2θ from 15° to 90°, by angle:
hkl, 2theta, d/Å, I (rel.)
0 0 2, 19.2, 4.622, 22
0 1 -1, 19.6, 4.527, 38
1 0 -1, 19.8, 4.495, 71
1 0 1, 20.0, 4.451, 100
1 -1 3, 33.8, 2.652, 24
-1 1 3, 34.1, 2.627, 23
2 -1 2, 36.1, 2.486, 42
1 1 2, 36.3, 2.475, 25
-1 2 2, 36.5, 2.465, 35
4 -2 0, 63.0, 1.475, 29